1.
The following is a computed powder XRD pattern of Y2Tm5Ni2Te2. It was derived from DFT lattice parameters and positions (GGA-PBE), using copper Kα.
No peak broadening, texture or thermal motion is included.

Largest 10 diffraction maxima, low angle first, 10° ≤ 2θ ≤ 90°:
2θ/deg, intensity
25.0, 23
30.3, 28
30.5, 49
33.1, 79
34.2, 100
34.7, 90
36.7, 21
47.4, 34
51.4, 24
59.0, 30

Atomic structure:
a = 3.839 Å, b = 15.514 Å, c = 9.522 Å
α = 90.00°, β = 90.00°, γ = 90.00°
Space group Imm2 (No. 44)
One atom of each set of equivalent atoms:
Y  0.000  0.147  0.000 [4 per cell]
Tm  0.000  0.185  0.351 [4 per cell]
Tm  0.000  0.367  0.149 [4 per cell]
Tm  0.000  0.500  0.732 [2 per cell]
Ni  0.000  0.261  0.661 [4 per cell]
Te  0.000  0.000  0.496 [2 per cell]
Te  0.000  0.500  0.394 [2 per cell]

=====

2.
The following is a computed powder XRD pattern of TbHoAg2Se4. It was derived from DFT lattice parameters and positions (GGA-PBE), using copper Kα.
No peak broadening, texture or thermal motion is included.

Largest 10 diffraction maxima, low angle first, 10° ≤ 2θ ≤ 90°:
2θ/deg, intensity
24.5, 42
26.4, 31
27.9, 69
33.7, 57
36.3, 100
37.7, 88
45.4, 54
46.2, 48
54.3, 23
61.0, 27

Atomic structure:
a = 9.547 Å, b = 9.564 Å, c = 4.314 Å
α = 90.00°, β = 90.00°, γ = 90.00°
Space group Cmm2 (No. 35)
One atom of each set of equivalent atoms:
Tb  0.000  0.000  0.000 [2 per cell]
Ho  0.000  0.500  0.592 [2 per cell]
Ag  0.250  0.250  0.796 [4 per cell]
Se  0.000  0.299  0.080 [4 per cell]
Se  0.203  0.000  0.513 [4 per cell]

=====

3.
The following is a computed powder XRD pattern of Pr2Co2SiC. It was derived from DFT lattice parameters and positions (GGA-PBE), using copper Kα.
No peak broadening, texture or thermal motion is included.

Largest 10 diffraction maxima, low angle first, 10° ≤ 2θ ≤ 90°:
2θ/deg, intensity
26.9, 100
33.1, 71
33.5, 68
35.7, 48
37.4, 71
38.8, 51
45.8, 30
55.0, 40
57.7, 29
64.3, 34

Atomic structure:
a = 3.960 Å, b = 6.047 Å, c = 9.077 Å
α = 90.00°, β = 90.00°, γ = 90.00°
Space group Immm (No. 71)
One atom of each set of equivalent atoms:
Pr  0.000  0.000  0.191 [4 per cell]
Co  0.000  0.206  0.500 [4 per cell]
Si  0.000  0.500  0.000 [2 per cell]
C  0.000  0.500  0.500 [2 per cell]

=====

Question: Number 3 is which compound?
Answer: Pr2Co2SiC